# 1
Computed X-ray powder pattern
Compound: Pm8Rh3SBr4
Radiation: CuKα
Structure: a PBE-relaxed structure
Intensities are scaled so that the largest is 100.

Structure:
```
Pm8Rh3SBr4
1.0
7.1732 -4.1419 0.0000
7.1732 4.1419 0.0000
-4.7911 0.0000 7.6315
Pm Rh S Br
8 3 1 4
direct
0.2211 0.7381 0.6968
0.2320 0.2320 0.6955
0.2619 0.2619 0.3032
0.2619 0.7789 0.3032
0.7381 0.2211 0.6968
0.7381 0.7381 0.6968
0.7680 0.7680 0.3045
0.7789 0.2619 0.3032
0.0000 0.0000 0.5000
0.0000 0.5000 0.5000
0.5000 0.0000 0.5000
0.5000 0.5000 0.5000
0.0000 0.0000 0.0000
0.0000 0.5000 0.0000
0.5000 0.0000 0.0000
0.5000 0.5000 0.0000
```

Most intense lines, 2θ from 15° to 90°, by angle:
Position (°2θ), Rel. int.
26.03, 9
29.39, 100
31.69, 10
37.20, 13
40.32, 28
43.71, 38
50.71, 9
53.55, 18
57.37, 9
71.52, 15

***

# 2
Computed X-ray powder pattern
Compound: Ag4SBr3
Radiation: CuKα
Structure: a PBE-relaxed structure
Intensities are scaled so that the largest is 100.

Structure:
```
Ag4SBr3
1.0
-3.9228 4.2209 3.7369
3.9228 -4.2209 3.7369
3.9228 4.2209 -3.7369
Ag S Br
4 1 3
direct
0.2191 0.0000 0.2191
0.6828 0.3688 0.6861
0.6828 0.9967 0.3139
0.7809 0.0000 0.7809
0.4268 0.9268 0.5000
0.0244 0.2732 0.2488
0.0244 0.7757 0.7512
0.5464 0.5464 0.0000
```

Most intense lines, 2θ from 15° to 90°, by angle:
Position (°2θ), Rel. int.
15.84, 79
16.38, 100
21.05, 53
23.81, 69
26.79, 64
27.77, 46
31.13, 74
41.29, 47
42.42, 64
54.47, 45

***

# 3
Computed X-ray powder pattern
Compound: PmSi3H12
Radiation: CuKα
Structure: a PBE-relaxed structure
Intensities are scaled so that the largest is 100.

Structure:
```
PmSi3H12
1.0
3.4261 1.9781 8.6784
-3.4261 1.9781 8.6784
0.0000 -3.9562 8.6784
Pm Si H
2 6 24
direct
0.0000 0.0000 0.0000
0.5000 0.5000 0.5000
0.1479 0.3968 0.6795
0.1795 0.8968 0.6479
0.3968 0.6795 0.1479
0.6479 0.1795 0.8968
0.6795 0.1479 0.3968
0.8968 0.6479 0.1795
0.1063 0.1372 0.4696
0.1118 0.7512 0.7019
0.1372 0.4696 0.1063
0.2019 0.2512 0.6118
0.2343 0.3603 0.8007
0.2512 0.6118 0.2019
0.3007 0.8603 0.7343
0.3021 0.9325 0.9715
0.3603 0.8007 0.2343
0.4325 0.8021 0.4715
0.4696 0.1063 0.1372
0.4715 0.4325 0.8021
0.6063 0.9696 0.6372
0.6118 0.2019 0.2512
0.6372 0.6063 0.9696
0.7019 0.1118 0.7512
0.7343 0.3007 0.8603
0.7512 0.7019 0.1118
0.8007 0.2343 0.3603
0.8021 0.4715 0.4325
0.8603 0.7343 0.3007
0.9325 0.9715 0.3021
0.9696 0.6372 0.6063
0.9715 0.3021 0.9325
```

Most intense lines, 2θ from 15° to 90°, by angle:
Position (°2θ), Rel. int.
16.42, 100
20.25, 40
26.01, 15
30.91, 14
31.35, 17
33.18, 20
33.32, 44
37.73, 13
40.83, 19
42.64, 18

***

# 4
Computed X-ray powder pattern
Compound: K3Cd4Hg
Radiation: CuKα
Structure: a PBE-relaxed structure
Intensities are scaled so that the largest is 100.

Structure:
```
K3Cd4Hg
1.0
-3.1116 3.8749 5.7813
3.1116 -3.8749 5.7813
3.1116 3.8749 -5.7813
K Cd Hg
3 4 1
direct
0.0000 0.0000 0.0000
0.4202 0.6604 0.7598
0.9006 0.6604 0.2402
0.0326 0.3437 0.6889
0.3963 0.1394 0.7431
0.3963 0.6532 0.2569
0.6548 0.3437 0.3111
0.6176 0.1176 0.5000
```

Most intense lines, 2θ from 15° to 90°, by angle:
Position (°2θ), Rel. int.
16.17, 99
18.28, 74
28.21, 100
30.94, 55
31.95, 87
35.61, 46
35.89, 57
38.97, 56
40.31, 87
40.92, 52

***

# 5
Computed X-ray powder pattern
Compound: K10Rb6Na
Radiation: CuKα
Structure: a PBE-relaxed structure
Intensities are scaled so that the largest is 100.

Structure:
```
K10Rb6Na
1.0
13.1411 0.0000 0.0000
-6.5706 11.3805 0.0000
0.0000 0.0000 8.8655
K Rb Na
10 6 1
direct
0.0000 0.2446 0.2802
0.0000 0.7554 0.7198
0.2446 0.0000 0.2802
0.2446 0.2446 0.7198
0.3333 0.6667 0.0000
0.3333 0.6667 0.5000
0.6667 0.3333 0.0000
0.6667 0.3333 0.5000
0.7554 0.0000 0.7198
0.7554 0.7554 0.2802
0.0000 0.3906 0.7695
0.0000 0.6094 0.2305
0.3906 0.0000 0.7695
0.3906 0.3906 0.2305
0.6094 0.0000 0.2305
0.6094 0.6094 0.7695
0.0000 0.0000 0.0000
```

Most intense lines, 2θ from 15° to 90°, by angle:
Position (°2θ), Rel. int.
16.80, 36
20.03, 23
22.98, 100
23.45, 57
24.22, 79
28.98, 17
30.05, 34
33.97, 16
36.90, 22
44.76, 23

***

# 6
Computed X-ray powder pattern
Compound: LiNpB2O6
Radiation: CuKα
Structure: a PBE-relaxed structure
Intensities are scaled so that the largest is 100.

Structure:
```
LiNpB2O6
1.0
4.6354 -4.4958 0.0000
4.6354 4.4958 0.0000
-1.2294 0.0000 4.5800
Li Np B O
2 2 4 12
direct
0.0637 0.9363 0.7500
0.9363 0.0637 0.2500
0.2977 0.7023 0.2500
0.7023 0.2977 0.7500
0.2024 0.3616 0.7211
0.3616 0.2024 0.2211
0.6384 0.7976 0.7789
0.7976 0.6384 0.2789
0.0221 0.2281 0.6493
0.1496 0.5849 0.8464
0.2281 0.0221 0.1493
0.3035 0.3775 0.4624
0.3775 0.3035 0.9624
0.4151 0.8504 0.6536
0.5849 0.1496 0.3464
0.6225 0.6965 0.0376
0.6965 0.6225 0.5376
0.7719 0.9779 0.8507
0.8504 0.4151 0.1536
0.9779 0.7719 0.3507
```

Most intense lines, 2θ from 15° to 90°, by angle:
Position (°2θ), Rel. int.
19.80, 97
21.75, 100
26.00, 69
28.13, 53
31.21, 24
31.48, 28
32.83, 46
44.36, 31
44.94, 26
51.83, 26

***

# 7
Computed X-ray powder pattern
Compound: LaNpAl2O8
Radiation: CuKα
Structure: a PBE-relaxed structure
Intensities are scaled so that the largest is 100.

Structure:
```
LaNpAl2O8
1.0
3.7154 -3.0078 0.0000
3.7154 3.0078 0.0000
-0.0092 0.0000 7.4493
La Np Al O
1 1 2 8
direct
0.0000 0.0000 0.0000
0.0000 0.0000 0.5000
0.5002 0.5002 0.1794
0.4998 0.4998 0.8206
0.2303 0.7692 0.2738
0.2308 0.7697 0.7262
0.2435 0.2435 0.5006
0.3315 0.3315 0.0000
0.6685 0.6685 0.0000
0.7565 0.7565 0.4994
0.7692 0.2303 0.2738
0.7697 0.2308 0.7262
```

Most intense lines, 2θ from 15° to 90°, by angle:
Position (°2θ), Rel. int.
18.98, 100
22.45, 28
23.93, 98
29.70, 33
30.69, 98
38.48, 57
39.34, 22
45.83, 27
46.55, 39
53.33, 25

***

# 8
Computed X-ray powder pattern
Compound: SeCl2
Radiation: CuKα
Structure: a PBE-relaxed structure
Intensities are scaled so that the largest is 100.

Structure:
```
SeCl2
1.0
0.0000 4.1955 7.1439
1.7544 0.0000 7.1439
1.7544 4.1955 0.0000
Se Cl
1 2
direct
0.0000 0.0000 0.0000
0.3781 0.3781 0.6219
0.6219 0.6219 0.3781
```

Most intense lines, 2θ from 15° to 90°, by angle:
Position (°2θ), Rel. int.
21.18, 100
24.61, 39
33.47, 82
42.18, 46
43.12, 14
45.64, 32
52.70, 23
55.96, 12
56.89, 11
70.36, 12

***

# 9
Computed X-ray powder pattern
Compound: Dy2CuGe2O8
Radiation: CuKα
Structure: a PBE-relaxed structure
Intensities are scaled so that the largest is 100.

Structure:
```
Dy2CuGe2O8
1.0
4.7897 -7.5453 0.0000
4.7897 7.5453 0.0000
-2.6243 0.0000 4.4497
Dy Cu Ge O
4 2 4 16
direct
0.1200 0.8800 0.0000
0.3833 0.6243 0.5456
0.6243 0.3833 0.5456
0.8800 0.1200 0.0000
0.0934 0.5069 0.8480
0.5069 0.0934 0.8480
0.2778 0.2778 0.8571
0.5361 0.9593 0.2958
0.7659 0.7659 0.2377
0.9593 0.5361 0.2958
0.0810 0.4208 0.1473
0.0939 0.0939 0.8676
0.1614 0.6791 0.6592
0.1972 0.3847 0.6603
0.3301 0.7963 0.2869
0.3847 0.1972 0.6603
0.4208 0.0810 0.1473
0.4347 0.4347 0.2433
0.5863 0.9279 0.9716
0.5979 0.5979 0.8678
0.6765 0.8605 0.4644
0.6791 0.1614 0.6592
0.7963 0.3301 0.2869
0.8605 0.6765 0.4644
0.9279 0.5863 0.9716
0.9382 0.9382 0.1931
```

Most intense lines, 2θ from 15° to 90°, by angle:
Position (°2θ), Rel. int.
24.71, 40
27.82, 100
28.80, 92
32.15, 89
34.42, 95
34.75, 42
43.89, 36
47.44, 43
48.69, 44
62.13, 36

***

# 10
Computed X-ray powder pattern
Compound: NaBi3Au
Radiation: CuKα
Structure: a PBE-relaxed structure
Intensities are scaled so that the largest is 100.

Structure:
```
NaBi3Au
1.0
6.6762 0.0000 0.0000
0.0000 6.5619 0.0000
-0.0051 0.0000 7.1781
Na Bi Au
2 6 2
direct
0.2331 0.0000 0.2506
0.7669 0.5000 0.7494
0.1199 0.1224 0.7502
0.2717 0.5091 0.4978
0.2728 0.5095 0.0024
0.7272 0.0095 0.9976
0.7283 0.0091 0.5022
0.8801 0.6224 0.2498
0.4360 0.8154 0.7494
0.5640 0.3154 0.2506
```

Most intense lines, 2θ from 15° to 90°, by angle:
Position (°2θ), Rel. int.
18.15, 20
18.32, 25
18.96, 33
22.68, 52
30.03, 21
31.41, 100
36.77, 28
37.13, 27
38.47, 25
39.59, 20

***

# 11
Computed X-ray powder pattern
Compound: Tb3PrIn2
Radiation: CuKα
Structure: a PBE-relaxed structure
Intensities are scaled so that the largest is 100.

Structure:
```
Tb3PrIn2
1.0
8.2326 -2.7067 0.0000
8.2326 2.7067 0.0000
-4.5496 0.0000 8.1022
Tb Pr In
6 2 4
direct
0.0599 0.0599 0.2141
0.3068 0.3068 0.5063
0.3839 0.3839 0.9577
0.6161 0.6161 0.0423
0.6932 0.6932 0.4937
0.9401 0.9401 0.7859
0.1311 0.1311 0.6716
0.8689 0.8689 0.3284
0.2266 0.2266 0.0931
0.4814 0.4814 0.3326
0.5186 0.5186 0.6674
0.7734 0.7734 0.9069
```

Most intense lines, 2θ from 15° to 90°, by angle:
Position (°2θ), Rel. int.
30.16, 45
30.54, 34
32.09, 100
33.10, 52
33.42, 54
45.39, 29
56.53, 14
58.49, 18
59.33, 10
60.11, 21

***

# 12
Computed X-ray powder pattern
Compound: Ba3Bi2F12
Radiation: CuKα
Structure: a PBE-relaxed structure
Intensities are scaled so that the largest is 100.

Structure:
```
Ba3Bi2F12
1.0
4.4001 0.0000 0.0000
-2.1469 3.9334 0.0000
-1.4673 -1.2394 17.6818
Ba Bi F
3 2 12
direct
0.0000 0.0000 0.0000
0.2317 0.5984 0.7955
0.4680 0.2059 0.5907
0.7740 0.9163 0.4066
0.8119 0.4840 0.2025
0.0256 0.8938 0.2915
0.0295 0.9678 0.1465
0.0356 0.4010 0.4684
0.1595 0.5551 0.6457
0.3078 0.6440 0.9514
0.3377 0.0512 0.4379
0.3836 0.6376 0.2057
0.5404 0.2454 0.7458
0.6920 0.3472 0.0593
0.7535 0.2785 0.3243
0.7669 0.8313 0.5392
0.9237 0.9510 0.8476
```

Most intense lines, 2θ from 15° to 90°, by angle:
Position (°2θ), Rel. int.
24.19, 100
25.07, 44
25.18, 49
28.19, 24
28.33, 24
29.14, 21
40.28, 19
40.51, 16
41.10, 37
42.16, 16